# Li9Mn2Co5O16
Computed powder diffraction line list, CuKα. Input: a DFT-relaxed cell (PBE+U, the Materials Project).

Atomic structure:
a = 5.9096 Å, b = 5.9133 Å, c = 10.1009 Å
α = 73.72°, β = 89.83°, γ = 60.27°
Space group P-1 (No. 2)
One atom of each set of equivalent atoms:
Li1 0.0000 0.0000 0.0000
Li2 0.0000 0.0000 0.5000
Li3 0.0000 0.5000 0.0000
Li4 0.2444 0.0099 0.2436
Li5 0.2619 0.9891 0.7549
Li6 0.5000 0.0000 0.0000
Li7 0.5000 0.0000 0.5000
Mn1 0.5000 0.5000 0.0000
Mn2 0.5000 0.5000 0.5000
Co1 0.0000 0.5000 0.5000
Co2 0.2429 0.4990 0.2450
Co3 0.2501 0.4922 0.7568
O1 0.1115 0.2720 0.3771
O2 0.1270 0.2664 0.8596
O3 0.1560 0.7210 0.3792
O4 0.1595 0.7244 0.8803
O5 0.3743 0.2810 0.1251
O6 0.3772 0.2725 0.6147
O7 0.3817 0.7337 0.1182
O8 0.3834 0.7178 0.6243

Top 8 peaks for 2θ = 10–90°, in order of falling intensity:
| 2θ (°) | I/Imax | index |
| --- | --- | --- |
| 18.2 | 100 | 0 1 0 |
| 43.1 | 28 | 2 0 2 |
| 43.4 | 27 | 2 2 -2 |
| 43.7 | 26 | 0 2 4 |
| 35.6 | 15 | 2 1 2 |
| 62.6 | 15 | -2 2 2 |
| 62.9 | 15 | 4 2 0 |
| 35.8 | 14 | 2 1 -2 |